This entry pairs a crystal structure of Rb2PaI5Br with its theoretical X-ray powder pattern. Radiation: Cu Kα (weighted mean of Kα1 and Kα2). Structure: a cell relaxed with GGA-PBE.
Peak positions follow from Bragg's law for the DFT cell and can differ from measured ones.

Structural model:
```
Rb2PaI5Br
1.0
-4.2988 4.2988 5.8427
4.2988 -4.2988 5.8427
4.2988 4.2988 -5.8427
Rb Pa I Br
2 1 5 1
Cartesian
4.2988 0.0000 0.0000 Rb
0.0000 4.2988 0.0000 Rb
0.0000 0.0000 2.9012 Pa
2.1536 2.1536 2.8520 I
2.1452 -2.1452 8.6947 I
0.0000 0.0000 11.5638 I
-2.1452 2.1452 8.6947 I
2.1452 2.1452 8.6947 I
0.0000 0.0000 5.6764 Br
```

Peak list (10 most intense, 10° ≤ 2θ ≤ 90°, by angle)
12.8 deg, d = 6.925 Å, intensity 57
14.6 deg, d = 6.079 Å, intensity 28
24.4 deg, d = 3.652 Å, intensity 27
25.7 deg, d = 3.463 Å, intensity 100
29.4 deg, d = 3.040 Å, intensity 100
30.6 deg, d = 2.921 Å, intensity 44
42.0 deg, d = 2.149 Å, intensity 37
42.9 deg, d = 2.106 Å, intensity 70
49.9 deg, d = 1.826 Å, intensity 31
52.9 deg, d = 1.731 Å, intensity 38